Theoretical powder X-ray diffraction pattern
Compound: Dy8Ho2Zr
Radiation: a wavelength of 1.5418 Å
Structure: the GGA-PBE geometry in Alexandria
No peak broadening, texture or thermal motion is included.

Atomic structure:
Cell lengths 9.2598, 9.2598, 7.8461 Å; angles 104.74, 104.74, 30.97 degrees
Element x y z (fractional)
Dy 0.0442 0.0442 0.2364
Dy 0.1321 0.1321 0.6756
Dy 0.3211 0.3211 0.5896
Dy 0.4107 0.4107 0.0555
Dy 0.5893 0.5893 0.9445
Dy 0.6789 0.6789 0.4104
Dy 0.8679 0.8679 0.3244
Dy 0.9558 0.9558 0.7636
Ho 0.2261 0.2261 0.1344
Ho 0.7739 0.7739 0.8656
Zr 0.5000 0.5000 0.5000

Top 10 peaks for 10 to 90 degrees two-theta, by intensity:
2θ = 31.27°, I 100
2θ = 31.30°, I 100
2θ = 36.26°, I 67
2θ = 62.22°, I 56
2θ = 52.22°, I 47
2θ = 36.34°, I 34
2θ = 62.08°, I 28
2θ = 52.30°, I 24
2θ = 88.35°, I 19
2θ = 85.50°, I 17